Record 1
Computed powder diffractogram
Compound: CeZn2Au6
Radiation: Cu Kα, 1.54184 Å
Structure: a structure optimized by DFT (PBE)
Kinematic intensities with the Lorentz-polarization factor, no thermal factor.

Structure:
```
CeZn2Au6
1.0
0.0000 5.9186 5.9186
5.9186 0.0000 5.9186
5.9186 5.9186 0.0000
Ce Zn Au
2 4 12
Direct
0.1250 0.1250 0.1250
0.8750 0.8750 0.8750
0.0000 0.5000 0.5000
0.5000 0.0000 0.5000
0.5000 0.5000 0.0000
0.5000 0.5000 0.5000
0.1246 0.1246 0.6254
0.1246 0.6254 0.1246
0.1246 0.6254 0.6254
0.3746 0.3746 0.8754
0.3746 0.8754 0.3746
0.3746 0.8754 0.8754
0.6254 0.1246 0.1246
0.6254 0.1246 0.6254
0.6254 0.6254 0.1246
0.8754 0.3746 0.3746
0.8754 0.3746 0.8754
0.8754 0.8754 0.3746
```

Most intense lines, 2θ from 10° to 90°, in order of rising 2θ:
2θ/deg	d [Å]	Rel. int.
21.23	4.185	18
24.95	3.569	11
30.20	2.959	85
37.21	2.416	9
43.24	2.093	100
53.64	1.709	23
58.33	1.582	5
62.80	1.480	17
71.25	1.323	31
79.30	1.208	35


Record 2
Computed powder diffractogram
Compound: Nd3ErPt8
Radiation: Cu Kα, 1.54184 Å
Structure: a structure optimized by DFT (PBE)
Kinematic intensities with the Lorentz-polarization factor, no thermal factor.

Structure:
```
Nd3ErPt8
1.0
2.7463 1.5856 8.9745
-2.7463 1.5856 8.9745
0.0000 -3.1711 8.9745
Nd Er Pt
3 1 8
Direct
0.0000 0.0000 0.0000
0.1257 0.1257 0.1257
0.6239 0.6239 0.6239
0.4994 0.4994 0.4994
0.0617 0.0617 0.5611
0.0617 0.5611 0.0617
0.0648 0.5624 0.5624
0.3124 0.3124 0.3124
0.5611 0.0617 0.0617
0.5624 0.0648 0.5624
0.5624 0.5624 0.0648
0.8126 0.8126 0.8126
```

Most intense lines, 2θ from 10° to 90°, in order of rising 2θ:
2θ/deg	d [Å]	Rel. int.
19.79	4.486	14
32.60	2.747	20
38.43	2.342	100
40.21	2.243	49
46.77	1.942	9
58.17	1.586	8
62.08	1.495	33
68.29	1.373	30
81.19	1.185	12
82.33	1.171	19


Record 3
Computed powder diffractogram
Compound: VCr2B4
Radiation: Cu Kα, 1.54184 Å
Structure: a structure optimized by DFT (PBE)
Kinematic intensities with the Lorentz-polarization factor, no thermal factor.

Structure:
```
VCr2B4
1.0
2.9487 0.0000 0.0000
0.0000 2.9588 0.0000
0.0000 0.0000 13.0416
V Cr B
2 4 8
Direct
0.0000 0.0000 0.0000
0.5000 0.5000 0.5000
0.0000 0.5000 0.3130
0.0000 0.5000 0.6870
0.5000 0.0000 0.1870
0.5000 0.0000 0.8130
0.0000 0.0000 0.4332
0.0000 0.0000 0.5668
0.0000 0.5000 0.1397
0.0000 0.5000 0.8603
0.5000 0.0000 0.3603
0.5000 0.0000 0.6397
0.5000 0.5000 0.0668
0.5000 0.5000 0.9332
```

Most intense lines, 2θ from 10° to 90°, in order of rising 2θ:
2θ/deg	d [Å]	Rel. int.
30.99	2.885	36
36.82	2.441	96
41.55	2.174	27
45.61	1.989	100
46.41	1.956	69
58.61	1.575	16
62.81	1.479	16
73.72	1.285	19
75.09	1.265	18
81.80	1.177	20


Record 4
Computed powder diffractogram
Compound: YTlFeCl6
Radiation: Cu Kα, 1.54184 Å
Structure: a structure optimized by DFT (PBE)
Kinematic intensities with the Lorentz-polarization factor, no thermal factor.

Structure:
```
YTlFeCl6
1.0
3.3574 -5.8179 0.0000
3.3574 5.8179 0.0000
-0.0171 0.0000 7.1255
Y Tl Fe Cl
1 1 1 6
Direct
0.0000 0.0000 0.0000
0.3335 0.6665 0.5000
0.6669 0.3331 0.0000
0.3513 0.3024 0.7940
0.3522 0.0465 0.2048
0.6976 0.6487 0.2060
0.6992 0.0493 0.7923
0.9507 0.3008 0.2077
0.9535 0.6478 0.7952
```

Most intense lines, 2θ from 10° to 90°, in order of rising 2θ:
2θ/deg	d [Å]	Rel. int.
15.23	5.817	9
19.70	4.506	100
26.54	3.358	18
29.40	3.038	27
33.27	2.693	22
36.78	2.444	50
41.05	2.199	16
43.06	2.101	27
46.86	1.939	18
58.65	1.574	14


Record 5
Computed powder diffractogram
Compound: ThGaPRh6
Radiation: Cu Kα, 1.54184 Å
Structure: a structure optimized by DFT (PBE)
Kinematic intensities with the Lorentz-polarization factor, no thermal factor.

Structure:
```
ThGaPRh6
1.0
-3.0725 4.5189 5.6643
3.0725 -4.5189 5.6643
3.0725 4.5189 -5.6643
Th Ga P Rh
2 2 2 12
Direct
0.4245 0.1745 0.2500
0.5755 0.8255 0.7500
0.0000 0.0000 0.5000
0.0000 0.5000 0.0000
0.0000 0.5000 0.5000
0.5000 0.5000 0.0000
0.1205 0.3618 0.2226
0.1205 0.8979 0.7587
0.1758 0.9258 0.2500
0.3208 0.5708 0.7500
0.3608 0.1021 0.7226
0.3608 0.6382 0.2587
0.6392 0.3618 0.7413
0.6392 0.8979 0.2774
0.6792 0.4292 0.2500
0.8242 0.0742 0.7500
0.8795 0.1021 0.2413
0.8795 0.6382 0.7774
```

Most intense lines, 2θ from 10° to 90°, in order of rising 2θ:
2θ/deg	d [Å]	Rel. int.
12.53	7.065	22
27.73	3.217	30
31.59	2.832	24
31.76	2.818	40
35.33	2.541	100
36.31	2.474	59
39.90	2.259	59
46.42	1.956	30
48.11	1.891	61
69.54	1.352	26


Record 6
Computed powder diffractogram
Compound: P7Pb
Radiation: Cu Kα, 1.54184 Å
Structure: a structure optimized by DFT (PBE)
Kinematic intensities with the Lorentz-polarization factor, no thermal factor.

Structure:
```
P7Pb
1.0
9.7892 0.0000 0.0000
0.0000 6.9118 0.0000
-6.9202 0.0000 10.6988
P Pb
28 4
Direct
0.0392 0.0997 0.3207
0.0392 0.4003 0.8207
0.0505 0.0862 0.5872
0.0505 0.4138 0.0872
0.2640 0.5717 0.9025
0.2640 0.9283 0.4025
0.2961 0.5500 0.1891
0.2961 0.9500 0.6891
0.3608 0.0692 0.2987
0.3608 0.4308 0.7987
0.4001 0.0856 0.5875
0.4001 0.4144 0.0875
0.4157 0.1233 0.8628
0.4157 0.3767 0.3628
0.5843 0.6233 0.6372
0.5843 0.8767 0.1372
0.5999 0.5856 0.9125
0.5999 0.9144 0.4125
0.6392 0.5692 0.2013
0.6392 0.9308 0.7013
0.7039 0.0500 0.3109
0.7039 0.4500 0.8109
0.7360 0.0717 0.5975
0.7360 0.4283 0.0975
0.9495 0.5863 0.9128
0.9495 0.9138 0.4128
0.9608 0.5997 0.1793
0.9608 0.9003 0.6793
0.2003 0.0177 0.9396
0.2003 0.4823 0.4396
0.7997 0.5177 0.5604
0.7997 0.9823 0.0604
```

Most intense lines, 2θ from 10° to 90°, in order of rising 2θ:
2θ/deg	d [Å]	Rel. int.
15.26	5.806	61
18.77	4.728	67
21.18	4.195	47
22.52	3.948	88
24.29	3.665	53
25.78	3.456	100
25.92	3.437	63
28.19	3.166	61
34.91	2.570	49
39.05	2.307	49


Record 7
Computed powder diffractogram
Compound: Pm12PrTh5
Radiation: Cu Kα, 1.54184 Å
Structure: a structure optimized by DFT (PBE)
Kinematic intensities with the Lorentz-polarization factor, no thermal factor.

Structure:
```
Pm12PrTh5
1.0
9.4098 -5.4354 0.0000
9.4098 5.4354 0.0000
-2.0404 0.0000 5.9568
Pm Pr Th
12 1 5
Direct
0.0037 0.3296 0.8328
0.1594 0.8406 0.0000
0.1668 0.4958 0.6636
0.3296 0.0037 0.8328
0.3347 0.6653 0.5000
0.4958 0.1668 0.6636
0.5042 0.8332 0.3364
0.6653 0.3347 0.5000
0.6704 0.9963 0.1672
0.8332 0.5042 0.3364
0.8406 0.1594 0.0000
0.9963 0.6704 0.1672
0.5000 0.5000 0.0000
0.0000 0.0000 0.5000
0.1661 0.1661 0.3316
0.3307 0.3307 0.1719
0.6693 0.6693 0.8281
0.8339 0.8339 0.6684
```

Most intense lines, 2θ from 10° to 90°, in order of rising 2θ:
2θ/deg	d [Å]	Rel. int.
30.12	2.967	100
30.22	2.958	33
34.72	2.584	23
35.06	2.559	45
50.10	1.821	16
50.24	1.816	16
59.41	1.556	10
59.81	1.546	10
59.86	1.545	19
62.62	1.484	13


Record 8
Computed powder diffractogram
Compound: Zn8PdRh2
Radiation: Cu Kα, 1.54184 Å
Structure: a structure optimized by DFT (PBE)
Kinematic intensities with the Lorentz-polarization factor, no thermal factor.

Structure:
```
Zn8PdRh2
1.0
3.9330 -5.1496 0.0000
3.9330 5.1496 0.0000
0.0000 0.0000 4.1451
Zn Pd Rh
8 1 2
Direct
0.0344 0.3036 0.5000
0.2450 0.7550 0.0000
0.3036 0.0344 0.5000
0.3342 0.3342 0.0000
0.6658 0.6658 0.0000
0.6964 0.9656 0.5000
0.7550 0.2450 0.0000
0.9656 0.6964 0.5000
0.0000 0.0000 0.0000
0.3719 0.6281 0.5000
0.6281 0.3719 0.5000
```

Most intense lines, 2θ from 10° to 90°, in order of rising 2θ:
2θ/deg	d [Å]	Rel. int.
22.61	3.933	19
41.28	2.187	100
41.69	2.166	88
43.43	2.084	44
43.67	2.073	43
56.84	1.620	14
63.29	1.469	28
77.95	1.226	16
78.58	1.217	14
86.56	1.124	22


Record 9
Computed powder diffractogram
Compound: Cs3DyU2O9
Radiation: Cu Kα, 1.54184 Å
Structure: a structure optimized by DFT (PBE)
Kinematic intensities with the Lorentz-polarization factor, no thermal factor.

Structure:
```
Cs3DyU2O9
1.0
6.2452 0.0000 0.0000
-3.1226 5.4085 0.0000
0.0000 0.0000 7.6435
Cs Dy U O
3 1 2 9
Direct
0.0000 0.0000 0.0000
0.3333 0.6667 0.6629
0.6667 0.3333 0.3371
0.0000 0.0000 0.5000
0.3333 0.6667 0.1664
0.6667 0.3333 0.8336
0.0000 0.5000 0.0000
0.1768 0.3537 0.3204
0.1768 0.8232 0.3204
0.3537 0.1768 0.6796
0.5000 0.0000 0.0000
0.5000 0.5000 0.0000
0.6463 0.8232 0.3204
0.8232 0.1768 0.6796
0.8232 0.6463 0.6796
```

Most intense lines, 2θ from 10° to 90°, in order of rising 2θ:
2θ/deg	d [Å]	Rel. int.
20.11	4.415	10
28.59	3.122	100
40.88	2.208	28
45.96	1.974	5
50.64	1.802	42
59.19	1.561	18
67.03	1.396	19
74.44	1.275	6
81.59	1.180	23
88.61	1.104	3


Record 10
Computed powder diffractogram
Compound: DyPuTh2As4
Radiation: Cu Kα, 1.54184 Å
Structure: a structure optimized by DFT (PBE)
Kinematic intensities with the Lorentz-polarization factor, no thermal factor.

Structure:
```
DyPuTh2As4
1.0
-4.1972 4.2022 5.9390
4.1972 -4.2022 5.9390
4.1972 4.2022 -5.9390
Dy Pu Th As
2 2 4 8
Direct
0.5000 0.0000 0.0000
0.5000 0.5000 0.5000
0.0000 0.0000 0.0000
0.5000 0.0000 0.5000
0.0000 0.0000 0.5000
0.0000 0.5000 0.0000
0.0000 0.5000 0.5000
0.5000 0.5000 0.0000
0.2533 0.2483 0.0050
0.2526 0.2482 0.4956
0.2526 0.7570 0.0044
0.2567 0.7517 0.5050
0.7433 0.2483 0.4950
0.7474 0.2430 0.9956
0.7474 0.7518 0.5044
0.7467 0.7517 0.9950
```

Most intense lines, 2θ from 10° to 90°, in order of rising 2θ:
2θ/deg	d [Å]	Rel. int.
25.99	3.429	40
30.09	2.970	100
43.08	2.100	76
51.00	1.791	21
53.44	1.714	27
62.56	1.485	13
68.92	1.363	9
70.97	1.328	35
78.97	1.212	26
84.83	1.143	7


Record 11
Computed powder diffractogram
Compound: Pm3TmIr
Radiation: Cu Kα, 1.54184 Å
Structure: a structure optimized by DFT (PBE)
Kinematic intensities with the Lorentz-polarization factor, no thermal factor.

Structure:
```
Pm3TmIr
1.0
5.5612 0.0000 0.0000
0.0000 5.5612 0.0000
0.0000 0.0000 5.5612
Pm Tm Ir
3 1 1
Direct
0.0000 0.0000 0.5000
0.0000 0.5000 0.0000
0.5000 0.0000 0.0000
0.5000 0.5000 0.5000
0.0000 0.0000 0.0000
```

Most intense lines, 2θ from 10° to 90°, in order of rising 2θ:
2θ/deg	d [Å]	Rel. int.
15.94	5.561	24
22.61	3.932	33
27.79	3.211	54
32.19	2.781	100
39.70	2.270	16
46.17	1.966	74
54.74	1.677	25
57.40	1.605	26
76.62	1.244	33
85.55	1.135	26


Record 12
Computed powder diffractogram
Compound: Ba3LiTi3O8
Radiation: Cu Kα, 1.54184 Å
Structure: a structure optimized by DFT (PBE)
Kinematic intensities with the Lorentz-polarization factor, no thermal factor.

Structure:
```
Ba3LiTi3O8
1.0
5.2456 -2.8290 0.0000
5.2456 2.8290 0.0000
-0.6835 0.0000 7.2315
Ba Li Ti O
3 1 3 8
Direct
0.0000 0.0000 0.0000
0.2954 0.2954 0.6890
0.6002 0.6002 0.3969
0.7967 0.7967 0.1920
0.3223 0.3223 0.1647
0.6352 0.6352 0.8566
0.9404 0.9404 0.5456
0.1212 0.6301 0.3558
0.2897 0.7955 0.6919
0.4725 0.4725 0.0312
0.4760 0.9746 0.0252
0.6301 0.1212 0.3558
0.7932 0.7932 0.6921
0.7955 0.2897 0.6919
0.9746 0.4760 0.0252
```

Most intense lines, 2θ from 10° to 90°, in order of rising 2θ:
2θ/deg	d [Å]	Rel. int.
22.14	4.015	51
29.89	2.989	100
30.14	2.965	97
31.39	2.850	51
31.65	2.827	75
37.71	2.386	51
40.67	2.218	23
45.16	2.008	70
55.26	1.662	34
55.41	1.658	18